(1)
Theoretical powder diffractogram of LiBi2Pt for Cu Kα X-rays, from DFT lattice parameters and positions (GGA-PBE).
Kinematic intensities with the Lorentz-polarization factor, no thermal factor.

Cell and atoms:
Cell: 4.4504 4.4504 17.7220 Å, 90.00 90.00 120.00°
Space group R3m (No. 160, hexagonal axes)
Unique sites:
Li  0.0000  0.0000  0.0000
Bi  0.0000  0.0000  0.5632
Bi  0.0000  0.0000  0.7570
Pt  0.0000  0.0000  0.1576

Main lines, sorted by position (2θ = 15–90°):
Position (°2θ), I_rel
23.62, 14.4
25.20, 66.3
34.37, 100.0
40.54, 65.5
42.73, 21.3
43.46, 24.5
48.33, 11.8
54.17, 28.1
57.21, 22.9
69.80, 26.8
73.75, 13.3
86.48, 15.3

***

(2)
Theoretical powder diffractogram of LiBi3Pt for Cu Kα X-rays, from DFT lattice parameters and positions (GGA-PBE).
Kinematic intensities with the Lorentz-polarization factor, no thermal factor.

Cell and atoms:
Cell: 5.017 5.017 5.017 Å, 90.00 90.00 90.00°
Space group Pm-3m (No. 221)
Unique sites:
Li  0.000  0.000  0.000
Bi  0.000  0.000  0.500
Pt  0.500  0.500  0.500

Main lines, sorted by position (2θ = 15–90°):
Position (°2θ), I_rel
30.87, 100.0
35.80, 52.4
51.52, 38.0
61.28, 44.5
64.32, 13.2
75.86, 6.3
84.11, 19.3
86.82, 18.5

***

(3)
Theoretical powder diffractogram of LiBi12Pt4 for Cu Kα X-rays, from DFT lattice parameters and positions (GGA-PBE).
Kinematic intensities with the Lorentz-polarization factor, no thermal factor.

Cell and atoms:
Cell: 10.003 10.003 10.003 Å, 90.00 90.00 90.00°
Space group Im-3 (No. 204)
Unique sites:
Li  0.000  0.000  0.000
Bi  0.000  0.337  0.158
Pt  0.250  0.250  0.250

Main lines, sorted by position (2θ = 15–90°):
Position (°2θ), I_rel
17.73, 17.9
28.21, 100.0
33.52, 37.4
40.32, 44.6
42.38, 11.3
44.37, 32.1
46.28, 26.3
53.41, 22.0
61.49, 11.0
63.03, 20.5
78.92, 11.8
81.68, 18.6

***

(4)
Theoretical powder diffractogram of LiPu2Bi2 for Cu Kα X-rays, from DFT lattice parameters and positions (GGA-PBE).
Kinematic intensities with the Lorentz-polarization factor, no thermal factor.

Cell and atoms:
Cell: 9.950 10.228 4.807 Å, 90.00 90.00 90.00°
Space group Ibam (No. 72)
Unique sites:
Li  0.000  0.000  0.250
Pu  0.036  0.392  0.000
Bi  0.227  0.128  0.000

Main lines, sorted by position (2θ = 15–90°):
Position (°2θ), I_rel
26.99, 34.4
27.23, 16.0
28.29, 25.6
35.09, 32.5
36.11, 18.0
37.36, 100.0
39.57, 13.8
47.56, 13.5
52.24, 22.1
52.98, 12.6
64.44, 12.5
67.45, 12.9

***

(5)
Theoretical powder diffractogram of Li3Bi2Rh for Cu Kα X-rays, from DFT lattice parameters and positions (GGA-PBE).
Kinematic intensities with the Lorentz-polarization factor, no thermal factor.

Cell and atoms:
Cell: 5.4265 5.4265 4.8236 Å, 90.00 90.00 120.00°
Space group P6/mmm (No. 191)
Unique sites:
Li  0.0000  0.5000  0.0000
Bi  0.3333  0.6667  0.5000
Rh  0.0000  0.0000  0.5000

Main lines, sorted by position (2θ = 15–90°):
Position (°2θ), I_rel
18.39, 92.5
18.88, 10.8
33.01, 70.2
37.28, 18.3
38.05, 100.0
50.64, 42.9
58.96, 13.7
62.32, 24.2
67.74, 18.9
71.86, 15.5
72.36, 14.6
81.38, 12.1

***

(6)
Theoretical powder diffractogram of Li5BiS4 for Cu Kα X-rays, from DFT lattice parameters and positions (GGA-PBE).
Kinematic intensities with the Lorentz-polarization factor, no thermal factor.

Cell and atoms:
Cell: 3.954 7.237 13.529 Å, 90.00 90.00 90.00°
Space group Immm (No. 71)
Unique sites:
Li  0.000  0.000  0.000
Li  0.000  0.209  0.322
Bi  0.000  0.500  0.000
S  0.000  0.275  0.500
S  0.000  0.500  0.213

Main lines, sorted by position (2θ = 15–90°):
Position (°2θ), I_rel
23.24, 28.5
23.44, 31.4
25.67, 89.5
26.35, 55.8
28.92, 41.1
34.24, 100.0
35.42, 33.7
37.12, 58.0
39.22, 36.3
47.88, 61.6
48.16, 36.1
60.95, 28.2

***

(7)
Theoretical powder diffractogram of Li4Bi2S7 for Cu Kα X-rays, from DFT lattice parameters and positions (GGA-PBE).
Kinematic intensities with the Lorentz-polarization factor, no thermal factor.

Cell and atoms:
Cell: 6.379 12.452 8.916 Å, 90.00 125.80 90.00°
Space group P2_1/c (No. 14)
Unique sites:
Li  0.129  0.111  0.471
Li  0.245  0.671  0.892
Bi  0.356  0.021  0.134
S  0.187  0.025  0.758
S  0.194  0.730  0.605
S  0.441  0.234  0.152
S  0.500  0.000  0.500

Main lines, sorted by position (2θ = 15–90°):
Position (°2θ), I_rel
17.14, 69.8
20.10, 100.0
22.34, 38.6
24.73, 44.7
27.37, 55.9
28.68, 71.3
29.96, 81.2
31.26, 98.9
36.39, 42.9
37.48, 37.5
38.02, 33.9
46.99, 52.8

***

(8)
Theoretical powder diffractogram of Li5BiS4 for Cu Kα X-rays, from DFT lattice parameters and positions (GGA-PBE).
Kinematic intensities with the Lorentz-polarization factor, no thermal factor.

Cell and atoms:
Cell: 7.668 12.624 7.765 Å, 90.00 90.00 90.00°
Space group Cmc2_1 (No. 36)
Unique sites:
Li  0.000  0.135  0.000
Li  0.180  0.062  0.587
Li  0.205  0.370  0.798
Bi  0.000  0.333  0.366
S  0.000  0.024  0.310
S  0.000  0.478  0.999
S  0.247  0.253  0.552

Main lines, sorted by position (2θ = 15–90°):
Position (°2θ), I_rel
17.71, 100.0
18.11, 35.9
22.91, 15.7
23.20, 16.4
24.13, 32.9
29.59, 28.4
30.58, 20.3
32.83, 27.7
33.51, 39.4
37.36, 17.9
37.73, 16.8
38.73, 20.3

***

(9)
Theoretical powder diffractogram of Li8BiS6 for Cu Kα X-rays, from DFT lattice parameters and positions (GGA-PBE).
Kinematic intensities with the Lorentz-polarization factor, no thermal factor.

Cell and atoms:
Cell: 7.1036 7.1036 13.5102 Å, 90.00 90.00 120.00°
Space group P6_3cm (No. 185)
Unique sites:
Li  0.0000  0.3292  0.0000
Li  0.0000  0.3829  0.3677
Li  0.3333  0.6667  0.1297
Bi  0.0000  0.0000  0.2257
S  0.0000  0.0000  0.4215
S  0.0000  0.3547  0.1847
S  0.3333  0.6667  0.4477

Main lines, sorted by position (2θ = 15–90°):
Position (°2θ), I_rel
19.52, 100.0
25.07, 43.5
26.39, 25.0
29.03, 23.3
30.19, 30.4
31.97, 36.6
36.72, 27.9
41.05, 33.7
42.76, 19.2
44.17, 27.6
47.47, 18.9
52.18, 20.8

***

(10)
Theoretical powder diffractogram of LiBi4S7 for Cu Kα X-rays, from DFT lattice parameters and positions (GGA-PBE).
Kinematic intensities with the Lorentz-polarization factor, no thermal factor.

Cell and atoms:
Cell: 13.138 3.953 11.807 Å, 90.00 103.03 90.00°
Space group Cm (No. 8)
Unique sites:
Li  0.000  0.000  0.000
Bi  0.121  0.000  0.423
Bi  0.260  0.000  0.867
Bi  0.274  0.500  0.173
Bi  0.427  0.000  0.592
S  0.077  0.000  0.647
S  0.134  0.000  0.195
S  0.146  0.500  0.961
S  0.282  0.500  0.459
S  0.379  0.500  0.794
S  0.390  0.000  0.069
S  0.470  0.000  0.377

Main lines, sorted by position (2θ = 15–90°):
Position (°2θ), I_rel
17.31, 74.9
23.00, 36.4
24.26, 100.0
27.38, 54.3
30.62, 49.7
30.84, 34.8
31.10, 26.8
32.38, 29.8
32.99, 40.8
40.65, 48.8
44.29, 32.8
45.92, 25.4